Theoretical PXRD pattern
Compound: Mn2NiAsO6
Radiation: λ = 1.5418 Å (Cu Kα)
Structure: a DFT-relaxed cell (PBE+U, Alexandria)

Structural model:
```
Mn2NiAsO6
1.0
5.067 0.000 0.000
-2.522 4.399 0.000
-0.009 -2.912 4.681
Mn Ni As O
2 1 1 6
Direct
0.000 0.000 0.000
0.476 0.953 0.429
0.276 0.550 0.827
0.796 0.587 0.382
0.059 0.499 0.171
0.180 0.047 0.628
0.442 0.112 0.173
0.583 0.759 0.629
0.674 0.732 0.173
0.870 0.453 0.631
```

Largest 10 diffraction maxima, most intense first, 10 to 80 degrees two-theta:
(hkl)  d/Å  I (rel.)
-1 1 1  2.742  100
1 1 -1  2.538  62
0 1 0  3.729  35
2 -1 0  2.533  31
-2 1 2  1.719  30
3 0 -1  1.466  24
1 1 1  1.724  21
-3 2 1  1.501  20
1 -1 1  3.715  18
0 2 0  1.868  14